# 1
# Te6MoW2
Calculated powder diffraction line list, Cu Kα (λ = 1.5418 Å). Input: a GGA-PBE-relaxed structure.
Neutral-atom scattering factors, no anomalous dispersion.

Main lines, in order of falling intensity (5° ≤ 2θ ≤ 70°):
11.4 deg, rel. 100, (0 0 3)
34.9 deg, rel. 93, (0 1 5)
42.7 deg, rel. 59, (0 1 8)
29.0 deg, rel. 47, (1 0 0)
51.4 deg, rel. 36, (1 1 0)
32.9 deg, rel. 19, (1 0 4)
63.6 deg, rel. 16, (2 0 5)
69.0 deg, rel. 15, (2 0 8)
31.2 deg, rel. 15, (0 1 3)
52.8 deg, rel. 13, (1 1 3)
39.9 deg, rel. 12, (1 0 7)
37.2 deg, rel. 8, (1 0 6)

a b c (Å): 3.5552 3.5552 23.3346
angles (deg): 90.00 90.00 120.00
Space group P3m1 (No. 156)
Unique sites:
Te1 0.0000 0.0000 0.0000
Te2 0.0000 0.0000 0.1551
Te3 0.0000 0.0000 0.6394
Te4 0.0000 0.0000 0.7953
Te5 0.6667 0.3333 0.3192
Te6 0.6667 0.3333 0.4750
Mo1 0.6667 0.3333 0.0775
W1 0.0000 0.0000 0.3971
W2 0.6667 0.3333 0.7174

# 2
# Te6Mo2W
Calculated powder diffraction line list, Cu Kα (λ = 1.5418 Å). Input: a GGA-PBE-relaxed structure.
Neutral-atom scattering factors, no anomalous dispersion.

Main lines, in order of falling intensity (5° ≤ 2θ ≤ 70°):
35.0 deg, rel. 100, (0 1 5)
11.4 deg, rel. 94, (0 0 3)
42.8 deg, rel. 63, (0 1 8)
29.0 deg, rel. 52, (1 0 0)
51.4 deg, rel. 42, (1 1 0)
63.7 deg, rel. 20, (2 0 5)
37.3 deg, rel. 20, (1 0 6)
31.3 deg, rel. 18, (0 1 3)
69.1 deg, rel. 18, (2 0 8)
7.6 deg, rel. 17, (0 0 2)
32.9 deg, rel. 17, (1 0 4)
40.0 deg, rel. 12, (1 0 7)

a b c (Å): 3.5549 3.5549 23.2087
angles (deg): 90.00 90.00 120.00
Space group P3m1 (No. 156)
Unique sites:
Te1 0.0000 0.0000 0.0000
Te2 0.0000 0.0000 0.1560
Te3 0.0000 0.0000 0.6416
Te4 0.0000 0.0000 0.7984
Te5 0.6667 0.3333 0.3213
Te6 0.6667 0.3333 0.4773
Mo1 0.0000 0.0000 0.3993
Mo2 0.6667 0.3333 0.0780
W1 0.6667 0.3333 0.7201

# 3
# TiMo7
Calculated powder diffraction line list, Cu Kα (λ = 1.5418 Å). Input: a GGA-PBE-relaxed structure.
Neutral-atom scattering factors, no anomalous dispersion.

Main lines, in order of falling intensity (5° ≤ 2θ ≤ 70°):
40.3 deg, rel. 100, (2 2 0)
58.4 deg, rel. 16, (4 0 4)
14.0 deg, rel. 2, (1 0 1)
19.9 deg, rel. 1, (1 1 0)
31.6 deg, rel. 1, (2 1 1)
34.7 deg, rel. 1, (1 0 4)
24.4 deg, rel. 1, (0 2 1)

a b c (Å): 8.9337 8.9337 10.9717
angles (deg): 90.00 90.00 120.00
Space group R-3m (No. 166, hexagonal axes)
Unique sites:
Ti1 0.0000 0.0000 0.1269
Mo1 0.0000 0.0000 0.3765
Mo2 0.0004 0.5002 0.1245
Mo3 0.0001 0.5001 0.3752

# 4
# Ti3Mo2
Calculated powder diffraction line list, Cu Kα (λ = 1.5418 Å). Input: a GGA-PBE-relaxed structure.
Neutral-atom scattering factors, no anomalous dispersion.

Main lines, in order of falling intensity (5° ≤ 2θ ≤ 70°):
40.2 deg, rel. 100, (1 0 5)
39.5 deg, rel. 54, (1 1 0)
57.1 deg, rel. 17, (2 0 0)
28.2 deg, rel. 13, (1 0 1)
22.8 deg, rel. 12, (0 0 4)
46.1 deg, rel. 8, (1 1 4)
59.1 deg, rel. 7, (0 0 10)
60.6 deg, rel. 6, (1 0 9)
11.3 deg, rel. 5, (0 0 2)
62.2 deg, rel. 3, (2 0 4)
64.9 deg, rel. 3, (2 1 1)
32.6 deg, rel. 2, (1 0 3)

a b c (Å): 3.2276 3.2276 15.6214
angles (deg): 90.00 90.00 90.00
Space group I4/mmm (No. 139)
Unique sites:
Ti1 0.0000 0.0000 0.0000
Ti2 0.0000 0.0000 0.1908
Mo1 0.0000 0.0000 0.3974

# 5
# Ti5Mo3
Calculated powder diffraction line list, Cu Kα (λ = 1.5418 Å). Input: a GGA-PBE-relaxed structure.
Neutral-atom scattering factors, no anomalous dispersion.

Main lines, in order of falling intensity (5° ≤ 2θ ≤ 70°):
40.1 deg, rel. 100, (1 0 4)
39.5 deg, rel. 54, (1 1 0)
57.1 deg, rel. 17, (2 0 0)
21.2 deg, rel. 13, (0 0 3)
58.8 deg, rel. 13, (0 0 8)
28.6 deg, rel. 11, (1 0 1)
45.3 deg, rel. 7, (1 1 3)
14.1 deg, rel. 4, (0 0 2)
61.6 deg, rel. 3, (2 0 3)
65.1 deg, rel. 2, (2 1 1)
7.0 deg, rel. 2, (0 0 1)
31.2 deg, rel. 2, (1 0 2)

a b c (Å): 3.2258 3.2258 12.5651
angles (deg): 90.00 90.00 90.00
Space group P4/mmm (No. 123)
Unique sites:
Ti1 0.0000 0.0000 0.0000
Ti2 0.0000 0.0000 0.2375
Ti3 0.5000 0.5000 0.3845
Mo1 0.0000 0.0000 0.5000
Mo2 0.5000 0.5000 0.1286

# 6
# TiMo
Calculated powder diffraction line list, Cu Kα (λ = 1.5418 Å). Input: a GGA-PBE-relaxed structure.
Neutral-atom scattering factors, no anomalous dispersion.

Main lines, in order of falling intensity (5° ≤ 2θ ≤ 70°):
39.4 deg, rel. 100, (1 2 1)
39.6 deg, rel. 98, (2 0 2)
38.0 deg, rel. 56, (0 0 4)
48.2 deg, rel. 54, (1 2 3)
63.0 deg, rel. 23, (1 2 5)
65.2 deg, rel. 21, (3 2 1)
19.5 deg, rel. 18, (1 0 1)
69.8 deg, rel. 17, (2 0 6)
19.2 deg, rel. 10, (0 1 1)
30.7 deg, rel. 6, (1 1 2)
24.0 deg, rel. 6, (1 1 0)
33.2 deg, rel. 5, (1 0 3)

a b c (Å): 5.1854 5.2889 9.4680
angles (deg): 90.00 90.00 90.00
Space group I2_12_12_1 (No. 24)
Unique sites:
Ti1 0.0013 0.0000 0.2500
Ti2 0.2500 0.3742 0.5000
Mo1 0.0000 0.2500 0.7533
Mo2 0.2500 0.1223 0.0000

# 7
# Ti3V4Mo2
Calculated powder diffraction line list, Cu Kα (λ = 1.5418 Å). Input: a GGA-PBE-relaxed structure.
Neutral-atom scattering factors, no anomalous dispersion.

Main lines, in order of falling intensity (5° ≤ 2θ ≤ 70°):
40.9 deg, rel. 100, (2 0 3)
41.2 deg, rel. 50, (3 1 0)
19.9 deg, rel. 9, (0 0 2)
59.5 deg, rel. 8, (0 2 0)
58.7 deg, rel. 8, (2 0 -6)
59.7 deg, rel. 7, (6 0 0)
41.6 deg, rel. 4, (3 1 -2)
24.3 deg, rel. 4, (2 0 1)
18.5 deg, rel. 3, (2 0 -1)
57.6 deg, rel. 2, (1 1 -5)
9.9 deg, rel. 2, (0 0 1)
33.0 deg, rel. 2, (1 1 1)

a b c (Å): 9.8071 3.1056 9.4317
angles (deg): 90.00 108.69 90.00
Space group C2/m (No. 12)
Unique sites:
Ti1 0.0000 0.0000 0.0000
Ti2 0.1583 0.5000 0.5586
V1 0.0064 0.0000 0.3150
V2 0.1748 0.5000 0.8845
Mo1 0.1683 0.5000 0.2218

# 8
# Ti2V2Mo5
Calculated powder diffraction line list, Cu Kα (λ = 1.5418 Å). Input: a GGA-PBE-relaxed structure.
Neutral-atom scattering factors, no anomalous dispersion.

Main lines, in order of falling intensity (5° ≤ 2θ ≤ 70°):
40.3 deg, rel. 100, (-1 2 2)
40.6 deg, rel. 49, (2 0 -2)
40.9 deg, rel. 48, (1 -3 2)
41.2 deg, rel. 48, (0 1 -4)
41.1 deg, rel. 47, (2 -1 2)
59.0 deg, rel. 31, (1 1 4)
59.1 deg, rel. 15, (1 3 -4)
21.5 deg, rel. 7, (0 0 2)
21.6 deg, rel. 7, (0 1 -2)
20.5 deg, rel. 5, (1 -1 1)
22.5 deg, rel. 4, (1 0 1)
27.7 deg, rel. 3, (0 2 -1)

a b c (Å): 5.1900 6.8380 8.7614
angles (deg): 107.89 90.86 109.68
Space group P1 (No. 1)
Unique sites:
Ti1 0.0000 0.0000 0.0000
Ti2 0.1133 0.4537 0.1169
Ti3 0.5540 0.2260 0.5609
Ti4 0.6798 0.6792 0.6747
V1 0.1165 0.4526 0.6114
V2 0.2463 0.8978 0.7201
V3 0.6868 0.6794 0.1694
V4 0.7897 0.1233 0.2831
Mo1 0.2337 0.8997 0.2306
Mo2 0.3392 0.3410 0.8373
Mo3 0.3403 0.3407 0.3370
Mo4 0.4434 0.7838 0.9502
Mo5 0.4483 0.7822 0.4438
Mo6 0.5588 0.2282 0.0587
Mo7 0.7895 0.1220 0.7818
Mo8 0.8930 0.5587 0.3949
Mo9 0.8960 0.5615 0.8896
Mo10 0.9967 0.0059 0.5033